Theoretical powder diffraction line list of SrYCoO4 for Cu Kα, 1.54184 Å, from a GGA+U-relaxed structure.

Peak list (10 most intense, 2θ = 5–70°, low angle first)
2θ/deg, I_rel
32.2, 100.0
32.4, 36.8
33.6, 36.8
44.3, 14.7
45.0, 12.7
45.3, 10.8
47.4, 39.5
57.6, 9.9
59.2, 17.6
67.5, 10.6

Cell and atoms:
Cell: 12.095 5.338 5.526 Å, 90.00 90.24 90.00°
Space group Cm (No. 8)
Asymmetric unit:
Sr (0.000, 0.000, 0.000) x2
Sr (0.000, 0.500, 0.481) x2
Y (0.281, 0.500, 0.511) x2
Y (0.283, 0.000, 0.960) x2
Co (0.141, 0.000, 0.486) x2
Co (0.146, 0.500, 0.988) x2
O (0.139, 0.253, 0.747) x4
O (0.172, 0.254, 0.232) x4
O (0.305, 0.500, 0.928) x2
O (0.309, 0.000, 0.556) x2
O (0.462, 0.500, 0.458) x2
O (0.469, 0.000, 0.020) x2